Entry 1:
Theoretical powder diffraction line list
Compound: VZn3
Radiation: Cu Ka
Structure: a PBE-relaxed structure
Kinematic intensities with the Lorentz-polarization factor, no thermal factor.

Cell and atoms:
abc: 3.832 3.832 3.832
angles: 90.00 90.00 90.00
Space group Pm-3m (No. 221)
Unique sites:
V  0.000  0.000  0.000 [1 per cell]
Zn  0.000  0.500  0.500 [3 per cell]

Principal peaks in the range 10 to 90 degrees two-theta, low angle first:
2θ 23.21, rel. 19, hkl 1 0 0
2θ 33.06, rel. 17, hkl 1 1 0
2θ 40.79, rel. 1000, hkl 1 1 1
2θ 47.45, rel. 475, hkl 2 0 0
2θ 53.47, rel. 10, hkl 2 1 0
2θ 69.37, rel. 281, hkl 2 2 0
2θ 83.71, rel. 325, hkl 3 1 1
2θ 88.36, rel. 95, hkl 2 2 2


Entry 2:
Theoretical powder diffraction line list
Compound: ZrW2
Radiation: Cu Ka
Structure: a PBE-relaxed structure
Kinematic intensities with the Lorentz-polarization factor, no thermal factor.

Cell and atoms:
abc: 7.668 7.668 7.668
angles: 90.00 90.00 90.00
Space group Fd-3m (No. 227, origin choice 2)
Unique sites:
Zr  0.125  0.125  0.125 [8 per cell]
W  0.000  0.000  0.500 [16 per cell]

Principal peaks in the range 10 to 90 degrees two-theta, low angle first:
2θ 20.06, rel. 377, hkl 1 1 1
2θ 38.96, rel. 1000, hkl 3 1 1
2θ 40.76, rel. 634, hkl 2 2 2
2θ 47.42, rel. 173, hkl 4 0 0
2θ 62.99, rel. 326, hkl 5 1 1
2θ 69.32, rel. 313, hkl 4 4 0
2θ 82.49, rel. 115, hkl 5 3 3
2θ 83.65, rel. 247, hkl 6 2 2


Entry 3:
Theoretical powder diffraction line list
Compound: ZrW2
Radiation: Cu Ka
Structure: a PBE-relaxed structure
Kinematic intensities with the Lorentz-polarization factor, no thermal factor.

Cell and atoms:
abc: 3.247 4.740 13.946
angles: 90.00 90.00 90.00
Space group Fmmm (No. 69)
Unique sites:
Zr  0.000  0.000  0.000 [4 per cell]
W  0.000  0.000  0.325 [8 per cell]

Principal peaks in the range 10 to 90 degrees two-theta, low angle first:
2θ 12.69, rel. 196, hkl 0 0 2
2θ 37.96, rel. 219, hkl 0 2 0
2θ 38.79, rel. 1000, hkl 1 1 3
2θ 55.36, rel. 136, hkl 0 2 6
2θ 69.13, rel. 148, hkl 1 3 3
2θ 70.16, rel. 121, hkl 1 1 9
2θ 70.28, rel. 72, hkl 2 2 0
2θ 83.25, rel. 85, hkl 2 2 6


Entry 4:
Theoretical powder diffraction line list
Compound: Xe
Radiation: Cu Ka
Structure: a PBE-relaxed structure
Kinematic intensities with the Lorentz-polarization factor, no thermal factor.

Cell and atoms:
abc: 6.661 6.661 6.661
angles: 90.00 90.00 90.00
Space group Fm-3m (No. 225)
Unique sites:
Xe  0.000  0.000  0.000 [4 per cell]

Principal peaks in the range 10 to 90 degrees two-theta, low angle first:
2θ 23.13, rel. 1000, hkl 1 1 1
2θ 26.77, rel. 519, hkl 2 0 0
2θ 38.21, rel. 396, hkl 2 2 0
2θ 45.14, rel. 490, hkl 3 1 1
2θ 60.59, rel. 202, hkl 3 3 1
2θ 62.34, rel. 185, hkl 4 2 0
2θ 73.93, rel. 151, hkl 5 1 1
2θ 86.42, rel. 156, hkl 5 3 1


Entry 5:
Theoretical powder diffraction line list
Compound: Xe
Radiation: Cu Ka
Structure: a PBE-relaxed structure
Kinematic intensities with the Lorentz-polarization factor, no thermal factor.

Cell and atoms:
abc: 4.8316 4.8316 35.0297
angles: 90.00 90.00 120.00
Space group R-3m (No. 166, hexagonal axes)
Unique sites:
Xe  0.0000  0.0000  0.0000 [3 per cell]
Xe  0.0000  0.0000  0.2223 [6 per cell]

Principal peaks in the range 10 to 90 degrees two-theta, low angle first:
2θ 21.39, rel. 358, hkl 1 0 1
2θ 22.85, rel. 504, hkl 0 0 9
2θ 23.56, rel. 1000, hkl 1 0 4
2θ 24.78, rel. 878, hkl 0 1 5
2θ 37.22, rel. 418, hkl 1 1 0
2θ 39.79, rel. 248, hkl 1 0 13
2θ 42.08, rel. 208, hkl 0 1 14
2θ 44.12, rel. 513, hkl 1 1 9


Entry 6:
Theoretical powder diffraction line list
Compound: Xe
Radiation: Cu Ka
Structure: a PBE-relaxed structure
Kinematic intensities with the Lorentz-polarization factor, no thermal factor.

Cell and atoms:
abc: 7.936 17.114 5.078
angles: 90.00 90.00 90.00
Space group Cmce (No. 64)
Unique sites:
Xe  0.000  0.133  0.014 [8 per cell]

Principal peaks in the range 10 to 90 degrees two-theta, low angle first:
2θ 20.76, rel. 580, hkl 0 4 0
2θ 21.41, rel. 1000, hkl 1 1 1
2θ 22.41, rel. 502, hkl 2 0 0
2θ 26.04, rel. 890, hkl 1 3 1
2θ 30.73, rel. 429, hkl 2 4 0
2θ 41.62, rel. 248, hkl 3 3 1
2θ 42.25, rel. 256, hkl 2 0 2
2θ 42.59, rel. 295, hkl 1 7 1


Entry 7:
Theoretical powder diffraction line list
Compound: Xe
Radiation: Cu Ka
Structure: a PBE-relaxed structure
Kinematic intensities with the Lorentz-polarization factor, no thermal factor.

Cell and atoms:
abc: 6.1198 6.1198 9.2866
angles: 90.00 90.00 120.00
Space group R-3m (No. 166, hexagonal axes)
Unique sites:
Xe  0.0000  0.0000  0.0000 [3 per cell]

Principal peaks in the range 10 to 90 degrees two-theta, low angle first:
2θ 19.28, rel. 1000, hkl 1 0 1
2θ 25.50, rel. 504, hkl 0 1 2
2θ 29.18, rel. 356, hkl 1 1 0
2θ 35.22, rel. 214, hkl 0 2 1
2θ 39.14, rel. 159, hkl 2 0 2
2θ 41.50, rel. 269, hkl 1 1 3
2θ 46.37, rel. 194, hkl 2 1 1
2θ 49.56, rel. 159, hkl 1 2 2


Entry 8:
Theoretical powder diffraction line list
Compound: Xe
Radiation: Cu Ka
Structure: a PBE-relaxed structure
Kinematic intensities with the Lorentz-polarization factor, no thermal factor.

Cell and atoms:
abc: 4.9441 4.9441 7.8898
angles: 90.00 90.00 120.00
Space group P6_3/mmc (No. 194)
Unique sites:
Xe  0.3333  0.6667  0.2500 [2 per cell]

Principal peaks in the range 10 to 90 degrees two-theta, low angle first:
2θ 20.75, rel. 229, hkl 1 0 0
2θ 22.54, rel. 250, hkl 0 0 2
2θ 23.64, rel. 1000, hkl 1 0 1
2θ 30.82, rel. 168, hkl 1 0 2
2θ 36.34, rel. 214, hkl 1 1 0
2θ 40.24, rel. 241, hkl 1 0 3
2θ 43.19, rel. 262, hkl 1 1 2
2θ 43.82, rel. 188, hkl 2 0 1


Entry 9:
Theoretical powder diffraction line list
Compound: Xe
Radiation: Cu Ka
Structure: a PBE-relaxed structure
Kinematic intensities with the Lorentz-polarization factor, no thermal factor.

Cell and atoms:
abc: 4.8366 4.8366 15.6428
angles: 90.00 90.00 120.00
Space group P6_3/mmc (No. 194)
Unique sites:
Xe  0.0000  0.0000  0.0000 [2 per cell]
Xe  0.3333  0.6667  0.2500 [2 per cell]

Principal peaks in the range 10 to 90 degrees two-theta, low angle first:
2θ 21.97, rel. 419, hkl 1 0 1
2θ 22.74, rel. 342, hkl 0 0 4
2θ 24.10, rel. 1000, hkl 1 0 2
2θ 27.31, rel. 243, hkl 1 0 3
2θ 37.18, rel. 281, hkl 1 1 0
2θ 40.77, rel. 243, hkl 1 0 6
2θ 44.03, rel. 346, hkl 1 1 4
2θ 44.80, rel. 185, hkl 2 0 2


Entry 10:
Theoretical powder diffraction line list
Compound: Xe
Radiation: Cu Ka
Structure: a PBE-relaxed structure
Kinematic intensities with the Lorentz-polarization factor, no thermal factor.

Cell and atoms:
abc: 5.896 5.896 5.896
angles: 90.00 90.00 90.00
Space group Im-3m (No. 229)
Unique sites:
Xe  0.000  0.000  0.000 [2 per cell]

Principal peaks in the range 10 to 90 degrees two-theta, low angle first:
2θ 21.31, rel. 1000, hkl 1 1 0
2θ 30.32, rel. 204, hkl 2 0 0
2θ 37.36, rel. 461, hkl 2 1 1
2θ 43.41, rel. 150, hkl 2 2 0
2θ 48.85, rel. 211, hkl 3 1 0
2θ 58.58, rel. 244, hkl 3 2 1
2θ 67.39, rel. 120, hkl 4 1 1
2θ 83.63, rel. 136, hkl 5 1 0


Entry 11:
Theoretical powder diffraction line list
Compound: Xe
Radiation: Cu Ka
Structure: a PBE-relaxed structure
Kinematic intensities with the Lorentz-polarization factor, no thermal factor.

Cell and atoms:
abc: 5.0573 5.0573 11.6190
angles: 90.00 90.00 120.00
Space group R-3m (No. 166, hexagonal axes)
Unique sites:
Xe  0.0000  0.0000  0.0000 [3 per cell]

Principal peaks in the range 10 to 90 degrees two-theta, low angle first:
2θ 21.68, rel. 1000, hkl 1 0 1
2θ 22.96, rel. 290, hkl 0 0 3
2θ 25.47, rel. 671, hkl 0 1 2
2θ 35.50, rel. 277, hkl 1 1 0
2θ 37.14, rel. 245, hkl 1 0 4
2θ 42.70, rel. 328, hkl 1 1 3
2θ 44.16, rel. 297, hkl 2 0 2
2θ 57.90, rel. 198, hkl 2 0 5


Entry 12:
Theoretical powder diffraction line list
Compound: Y
Radiation: Cu Ka
Structure: a PBE-relaxed structure
Kinematic intensities with the Lorentz-polarization factor, no thermal factor.

Cell and atoms:
abc: 3.6590 3.6590 5.6660
angles: 90.00 90.00 120.00
Space group P6_3/mmc (No. 194)
Unique sites:
Y  0.3333  0.6667  0.2500 [2 per cell]

Principal peaks in the range 10 to 90 degrees two-theta, low angle first:
2θ 28.16, rel. 242, hkl 1 0 0
2θ 31.58, rel. 238, hkl 0 0 2
2θ 32.37, rel. 1000, hkl 1 0 1
2θ 42.82, rel. 151, hkl 1 0 2
2θ 49.84, rel. 191, hkl 1 1 0
2θ 56.74, rel. 193, hkl 1 0 3
2θ 60.21, rel. 213, hkl 1 1 2
2θ 60.69, rel. 156, hkl 2 0 1


Q: What is the formula in the eighth record?
A: Xe